Record 1
Calculated PXRD pattern of DyTe3Au for Cu Kα (λ = 1.5418 Å), from a PBE-relaxed structure.
Lines closer than 0.1° are merged.

Top 10 peaks for 2θ = 10–90°, sorted by position:
| 2θ/deg | d_spacing | I (rel.) |
| --- | --- | --- |
| 24.3 | 3.656 | 60 |
| 26.1 | 3.415 | 100 |
| 26.7 | 3.336 | 54 |
| 31.5 | 2.840 | 46 |
| 31.6 | 2.829 | 44 |
| 32.4 | 2.765 | 87 |
| 36.6 | 2.456 | 43 |
| 40.4 | 2.233 | 50 |
| 48.1 | 1.890 | 42 |
| 48.3 | 1.884 | 42 |

Atomic structure:
Lattice parameters (Å, degrees): 7.799 8.298 11.422 90.00 125.24 90.00
Space group P2_1/c (No. 14)
One atom of each set of equivalent atoms:
Dy 0.200 0.162 0.228
Te 0.077 0.153 0.910
Te 0.217 0.614 0.939
Te 0.411 0.003 0.730
Au 0.492 0.185 0.026

---

Record 2
Calculated PXRD pattern of DyTiAu for Cu Kα (λ = 1.5418 Å), from a PBE-relaxed structure.
Lines closer than 0.1° are merged.

Top 10 peaks for 2θ = 10–90°, sorted by position:
| 2θ/deg | d_spacing | I (rel.) |
| --- | --- | --- |
| 17.6 | 5.046 | 17 |
| 32.7 | 2.741 | 100 |
| 33.7 | 2.661 | 65 |
| 37.8 | 2.381 | 18 |
| 38.2 | 2.357 | 15 |
| 39.5 | 2.280 | 26 |
| 49.8 | 1.832 | 17 |
| 54.5 | 1.684 | 15 |
| 64.1 | 1.452 | 16 |
| 65.6 | 1.423 | 22 |

Atomic structure:
Lattice parameters (Å, degrees): 4.761 10.092 10.660 90.00 90.00 90.00
Space group Fmmm (No. 69)
One atom of each set of equivalent atoms:
Dy 0.000 0.140 0.000
Ti 0.250 0.250 0.250
Au 0.000 0.000 0.340

---

Record 3
Calculated PXRD pattern of Dy6Tl5Au for Cu Kα (λ = 1.5418 Å), from a PBE-relaxed structure.
Lines closer than 0.1° are merged.

Top 10 peaks for 2θ = 10–90°, sorted by position:
| 2θ/deg | d_spacing | I (rel.) |
| --- | --- | --- |
| 23.6 | 3.767 | 1 |
| 33.6 | 2.664 | 100 |
| 48.3 | 1.885 | 12 |
| 48.4 | 1.881 | 6 |
| 60.2 | 1.538 | 31 |
| 60.2 | 1.537 | 6 |
| 70.7 | 1.333 | 4 |
| 70.8 | 1.331 | 8 |
| 80.6 | 1.192 | 11 |
| 80.8 | 1.190 | 5 |

Atomic structure:
Lattice parameters (Å, degrees): 5.330 16.003 7.522 90.00 90.00 90.00
Space group Cmmm (No. 65)
One atom of each set of equivalent atoms:
Dy 0.000 0.000 0.240
Dy 0.000 0.339 0.245
Tl 0.000 0.168 0.000
Tl 0.000 0.169 0.500
Tl 0.000 0.500 0.500
Au 0.000 0.500 0.000

---

Record 4
Calculated PXRD pattern of Dy5TlAu for Cu Kα (λ = 1.5418 Å), from a PBE-relaxed structure.
Lines closer than 0.1° are merged.

Top 10 peaks for 2θ = 10–90°, sorted by position:
| 2θ/deg | d_spacing | I (rel.) |
| --- | --- | --- |
| 27.3 | 3.263 | 34 |
| 27.8 | 3.207 | 52 |
| 28.3 | 3.156 | 33 |
| 29.7 | 3.010 | 80 |
| 31.7 | 2.826 | 51 |
| 31.8 | 2.814 | 100 |
| 34.8 | 2.578 | 49 |
| 35.8 | 2.508 | 58 |
| 37.4 | 2.404 | 36 |
| 41.4 | 2.183 | 48 |

Atomic structure:
Lattice parameters (Å, degrees): 9.107 9.395 9.897 90.00 94.85 90.00
Space group C2/c (No. 15)
One atom of each set of equivalent atoms:
Dy 0.000 0.143 0.250
Dy 0.156 0.227 0.657
Dy 0.190 0.416 0.003
Tl 0.000 0.474 0.250
Au 0.000 0.000 0.000

---

Record 5
Calculated PXRD pattern of Dy3TlAu for Cu Kα (λ = 1.5418 Å), from a PBE-relaxed structure.
Lines closer than 0.1° are merged.

Top 10 peaks for 2θ = 10–90°, sorted by position:
| 2θ/deg | d_spacing | I (rel.) |
| --- | --- | --- |
| 30.7 | 2.910 | 100 |
| 32.3 | 2.772 | 83 |
| 32.8 | 2.732 | 53 |
| 33.2 | 2.701 | 49 |
| 33.4 | 2.680 | 98 |
| 33.8 | 2.655 | 51 |
| 33.9 | 2.643 | 47 |
| 34.6 | 2.595 | 57 |
| 35.2 | 2.550 | 52 |
| 44.4 | 2.041 | 36 |

Atomic structure:
Lattice parameters (Å, degrees): 14.723 6.836 11.111 90.00 93.11 90.00
Space group C2/c (No. 15)
One atom of each set of equivalent atoms:
Dy 0.054 0.204 0.080
Dy 0.116 0.463 0.832
Dy 0.185 0.032 0.329
Tl 0.132 0.268 0.575
Au 0.000 0.104 0.750
Au 0.250 0.250 0.000

---

Record 6
Calculated PXRD pattern of DyTm3Au2 for Cu Kα (λ = 1.5418 Å), from a PBE-relaxed structure.
Lines closer than 0.1° are merged.

Top 10 peaks for 2θ = 10–90°, sorted by position:
| 2θ/deg | d_spacing | I (rel.) |
| --- | --- | --- |
| 30.0 | 2.978 | 57 |
| 31.2 | 2.866 | 25 |
| 32.4 | 2.759 | 19 |
| 32.9 | 2.725 | 100 |
| 35.5 | 2.526 | 65 |
| 36.7 | 2.452 | 55 |
| 43.6 | 2.078 | 18 |
| 43.9 | 2.064 | 17 |
| 44.1 | 2.054 | 22 |
| 69.1 | 1.359 | 18 |

Atomic structure:
Lattice parameters (Å, degrees): 4.904 8.843 7.063 90.00 90.00 90.00
Space group Pmc2_1 (No. 26)
One atom of each set of equivalent atoms:
Dy 0.000 0.073 0.000
Tm 0.000 0.330 0.635
Tm 0.500 0.171 0.337
Tm 0.500 0.428 0.972
Au 0.000 0.351 0.230
Au 0.500 0.152 0.742

---

Record 7
Calculated PXRD pattern of Dy2Y3Au2 for Cu Kα (λ = 1.5418 Å), from a PBE-relaxed structure.
Lines closer than 0.1° are merged.

Top 10 peaks for 2θ = 10–90°, sorted by position:
| 2θ/deg | d_spacing | I (rel.) |
| --- | --- | --- |
| 21.4 | 4.148 | 44 |
| 31.1 | 2.878 | 94 |
| 31.6 | 2.831 | 53 |
| 32.1 | 2.790 | 65 |
| 33.7 | 2.661 | 100 |
| 33.9 | 2.646 | 59 |
| 34.1 | 2.628 | 74 |
| 35.6 | 2.524 | 40 |
| 38.6 | 2.330 | 51 |
| 49.3 | 1.850 | 34 |

Atomic structure:
Lattice parameters (Å, degrees): 12.751 3.699 9.206 90.00 115.69 90.00
Space group C2/m (No. 12)
One atom of each set of equivalent atoms:
Dy 0.154 0.000 0.313
Y 0.000 0.500 0.500
Y 0.113 0.500 0.942
Au 0.174 0.000 0.729

---

Record 8
Calculated PXRD pattern of Dy3YAu for Cu Kα (λ = 1.5418 Å), from a PBE-relaxed structure.
Lines closer than 0.1° are merged.

Top 10 peaks for 2θ = 10–90°, sorted by position:
| 2θ/deg | d_spacing | I (rel.) |
| --- | --- | --- |
| 13.7 | 6.474 | 13 |
| 32.6 | 2.748 | 100 |
| 33.3 | 2.691 | 22 |
| 33.8 | 2.651 | 27 |
| 42.1 | 2.148 | 8 |
| 45.3 | 2.003 | 8 |
| 48.2 | 1.888 | 16 |
| 57.7 | 1.598 | 8 |
| 59.7 | 1.549 | 9 |
| 59.7 | 1.548 | 9 |

Atomic structure:
Lattice parameters (Å, degrees): 6.574 5.301 8.326 90.00 100.00 90.00
Space group P2_1/m (No. 11)
One atom of each set of equivalent atoms:
Dy 0.142 0.250 0.495
Dy 0.225 0.750 0.226
Dy 0.298 0.250 0.940
Y 0.405 0.750 0.665
Au 0.052 0.750 0.849

---

Record 9
Calculated PXRD pattern of Dy3YAu4 for Cu Kα (λ = 1.5418 Å), from a PBE-relaxed structure.
Lines closer than 0.1° are merged.

Top 10 peaks for 2θ = 10–90°, sorted by position:
| 2θ/deg | d_spacing | I (rel.) |
| --- | --- | --- |
| 24.7 | 3.603 | 3 |
| 35.2 | 2.548 | 100 |
| 43.5 | 2.079 | 1 |
| 50.7 | 1.802 | 18 |
| 63.1 | 1.474 | 9 |
| 63.3 | 1.470 | 28 |
| 74.4 | 1.275 | 6 |
| 74.6 | 1.272 | 6 |
| 85.1 | 1.140 | 8 |
| 85.2 | 1.139 | 8 |

Atomic structure:
Lattice parameters (Å, degrees): 5.0896 5.0896 25.0245 90.00 90.00 120.00
Space group R-3m (No. 166, hexagonal axes)
One atom of each set of equivalent atoms:
Dy 0.0000 0.0000 0.0000
Dy 0.0000 0.0000 0.2501
Y 0.0000 0.0000 0.5000
Au 0.0000 0.0000 0.1246
Au 0.0000 0.0000 0.3746

---

Record 10
Calculated PXRD pattern of Dy2ZnAu for Cu Kα (λ = 1.5418 Å), from a PBE-relaxed structure.
Lines closer than 0.1° are merged.

Top 10 peaks for 2θ = 10–90°, sorted by position:
| 2θ/deg | d_spacing | I (rel.) |
| --- | --- | --- |
| 19.6 | 4.531 | 4 |
| 26.4 | 3.380 | 3 |
| 31.8 | 2.811 | 3 |
| 35.4 | 2.534 | 100 |
| 51.0 | 1.792 | 18 |
| 63.6 | 1.463 | 36 |
| 75.0 | 1.267 | 9 |
| 75.0 | 1.266 | 2 |
| 85.7 | 1.133 | 13 |
| 85.8 | 1.133 | 3 |

Atomic structure:
Lattice parameters (Å, degrees): 5.064 3.583 10.144 90.00 90.00 90.00
Space group Pmma (No. 51)
One atom of each set of equivalent atoms:
Dy 0.250 0.000 0.125
Dy 0.250 0.000 0.625
Zn 0.250 0.500 0.382
Au 0.250 0.500 0.869

---

Record 11
Calculated PXRD pattern of DyZn3Au3 for Cu Kα (λ = 1.5418 Å), from a PBE-relaxed structure.
Lines closer than 0.1° are merged.

Top 10 peaks for 2θ = 10–90°, sorted by position:
| 2θ/deg | d_spacing | I (rel.) |
| --- | --- | --- |
| 14.2 | 6.228 | 27 |
| 29.2 | 3.062 | 94 |
| 36.8 | 2.445 | 36 |
| 38.6 | 2.332 | 100 |
| 39.4 | 2.285 | 77 |
| 40.3 | 2.235 | 78 |
| 43.8 | 2.065 | 46 |
| 44.6 | 2.030 | 23 |
| 46.3 | 1.960 | 28 |
| 51.1 | 1.788 | 39 |

Atomic structure:
Lattice parameters (Å, degrees): 7.0338 7.0338 18.6855 90.00 90.00 120.00
Space group R-3 (No. 148, hexagonal axes)
One atom of each set of equivalent atoms:
Dy 0.0000 0.0000 0.1616
Zn 0.0219 0.4195 0.3744
Au 0.0044 0.2448 0.5674

---

Record 12
Calculated PXRD pattern of DyZn6Au6 for Cu Kα (λ = 1.5418 Å), from a PBE-relaxed structure.
Lines closer than 0.1° are merged.

Top 10 peaks for 2θ = 10–90°, sorted by position:
| 2θ/deg | d_spacing | I (rel.) |
| --- | --- | --- |
| 33.3 | 2.691 | 100 |
| 34.1 | 2.632 | 47 |
| 38.9 | 2.314 | 74 |
| 39.3 | 2.290 | 34 |
| 39.6 | 2.276 | 35 |
| 39.7 | 2.269 | 29 |
| 43.4 | 2.085 | 25 |
| 44.2 | 2.048 | 47 |
| 69.9 | 1.345 | 31 |
| 71.6 | 1.319 | 34 |

Atomic structure:
Lattice parameters (Å, degrees): 5.263 9.076 9.392 90.00 90.00 90.00
Space group Immm (No. 71)
One atom of each set of equivalent atoms:
Dy 0.000 0.000 0.000
Zn 0.000 0.257 0.500
Zn 0.250 0.250 0.250
Au 0.000 0.000 0.338
Au 0.000 0.335 0.000
Au 0.000 0.500 0.327

---

Question: Number 2 is which compound?
Answer: DyTiAu